Entry 1:
# CdIn2HgBi
Calculated X-ray diffraction stick pattern, Cu Kα. Input: the GGA-PBE geometry in Alexandria.

Structure:
Cell lengths 7.312, 4.439, 9.416 Å; angles 90.00, 102.65, 90.00 degrees
Positions (direct):
Cd 0.112 0.250 0.425
Cd 0.888 0.750 0.575
In 0.132 0.250 0.111
In 0.406 0.750 0.310
In 0.594 0.250 0.690
In 0.868 0.750 0.889
Hg 0.309 0.750 0.615
Hg 0.691 0.250 0.385
Bi 0.312 0.750 0.950
Bi 0.688 0.250 0.050

The 10 most intense peaks (2θ from 5° to 70°), most intense first:
2θ (°), d (Å), Rel. int.
32.19, 2.781, 100
35.61, 2.522, 91
40.65, 2.219, 45
23.60, 3.769, 44
29.12, 3.066, 41
22.24, 3.997, 30
39.90, 2.260, 23
42.93, 2.107, 23
42.73, 2.116, 18
50.78, 1.798, 18

Entry 2:
# PbSeS2
Calculated X-ray diffraction stick pattern, Cu Kα. Input: the GGA-PBE geometry in Alexandria.

Structure:
Cell lengths 4.258, 4.436, 12.907 Å; angles 80.57, 85.77, 89.90 degrees
Positions (direct):
Pb 0.225 0.196 0.112
Pb 0.775 0.804 0.888
Se 0.274 0.304 0.885
Se 0.726 0.696 0.115
S 0.150 0.115 0.601
S 0.184 0.177 0.392
S 0.816 0.823 0.608
S 0.850 0.885 0.399

The 10 most intense peaks (2θ from 5° to 70°), most intense first:
2θ (°), d (Å), Rel. int.
6.96, 12.697, 100
29.14, 3.065, 32
28.11, 3.174, 21
29.46, 3.032, 13
42.60, 2.122, 9
30.47, 2.934, 8
42.23, 2.140, 7
39.62, 2.275, 7
20.98, 4.235, 7
29.57, 3.020, 6

Entry 3:
# Y4HoSc4
Calculated X-ray diffraction stick pattern, Cu Kα. Input: the GGA-PBE geometry in Alexandria.

Structure:
Cell lengths 7.676, 7.676, 7.676 Å; angles 95.71, 95.71, 143.24 degrees
Positions (direct):
Y 0.000 0.327 0.327
Y 0.000 0.673 0.673
Y 0.327 0.000 0.327
Y 0.673 0.000 0.673
Ho 0.000 0.000 0.000
Sc 0.334 0.334 0.668
Sc 0.334 0.666 0.000
Sc 0.666 0.334 0.000
Sc 0.666 0.666 0.332

The 10 most intense peaks (2θ from 5° to 70°), most intense first:
2θ (°), d (Å), Rel. int.
31.95, 2.801, 100
37.02, 2.428, 33
53.42, 1.715, 33
63.56, 1.464, 25
20.27, 4.381, 17
37.15, 2.420, 16
63.73, 1.460, 13
66.80, 1.400, 11
17.21, 5.151, 10
27.38, 3.258, 8